Calculated PXRD pattern
Compound: Li8MnFe7P8O32
Radiation: Cu Kα (λ = 1.5418 Å)
Structure: DFT lattice parameters and positions (PBE+U)
Neutral-atom scattering factors, no anomalous dispersion.

Top 10 peaks for 15° ≤ 2θ ≤ 90°, in order of rising 2θ:
index  d [Å]  I_rel
0 0 2  5.222  32.5
2 0 1  4.327  60.8
2 2 -1  3.526  90.3
0 4 0  3.045  77.3
2 0 3  2.809  29.5
2 2 -3  2.551  100.0
2 4 1  2.490  30.3
0 2 4  2.400  21.4
4 4 2  1.764  35.9
2 6 3  1.645  23.8

Crystal structure
```
data_Li8MnFe7P8O32
_chemical_formula_sum 'Li16 Mn2 Fe14 P16 O64'
_cell_length_a 9.5094
_cell_length_b 12.1811
_cell_length_c 10.4441
_cell_angle_alpha 90.00
_cell_angle_beta 90.00
_cell_angle_gamma 90.00
_space_group_name_H-M_alt 'C 1 m 1'
_space_group_IT_number 8
loop_
_space_group_symop_operation_xyz
'x,y,z'
'x,-y,z'
'x+1/2,y+1/2,z'
'x+1/2,-y+1/2,z'
loop_
_atom_site_label
_atom_site_fract_x
_atom_site_fract_y
_atom_site_fract_z
Li1 0.0000 0.1254 0.0000
Li2 0.9998 0.3749 0.9999
Li3 0.2499 0.1250 0.5004
Li4 0.2497 0.3747 0.5010
Mn1 0.2625 0.5000 0.2182
Fe1 0.0132 0.2499 0.2822
Fe2 0.2367 0.2498 0.7822
Fe3 0.2630 0.0000 0.2184
Fe4 0.4863 0.0000 0.7185
Fe5 0.4865 0.5000 0.7183
P1 0.0395 0.5000 0.4069
P2 0.0416 0.0000 0.4061
P3 0.2086 0.0000 0.9053
P4 0.2087 0.5000 0.9046
P5 0.2918 0.2489 0.0947
P6 0.4588 0.2501 0.5952
O1 0.1035 0.0000 0.5440
O2 0.1027 0.5000 0.5443
O3 0.1059 0.3983 0.3364
O4 0.1080 0.1015 0.3351
O5 0.1203 0.2499 0.5975
O6 0.1303 0.2505 0.0977
O7 0.1417 0.1016 0.8347
O8 0.1420 0.3983 0.8342
O9 0.1459 0.5000 0.0422
O10 0.1465 0.0000 0.0432
O11 0.3529 0.2492 0.9563
O12 0.3578 0.1469 0.1648
O13 0.3613 0.3492 0.1649
O14 0.3702 0.0000 0.9028
O15 0.3700 0.5000 0.9032
O16 0.3780 0.0000 0.4042
O17 0.3802 0.5000 0.4037
O18 0.3919 0.1485 0.6657
O19 0.3919 0.3517 0.6658
O20 0.3968 0.2501 0.4573
```



Calculated PXRD pattern
Compound: Li4Mn3FeP4O16
Radiation: Cu Kα (λ = 1.5418 Å)
Structure: DFT lattice parameters and positions (PBE+U)
Neutral-atom scattering factors, no anomalous dispersion.

Top 10 peaks for 15° ≤ 2θ ≤ 90°, in order of rising 2θ:
index  d [Å]  I_rel
4 0 0  5.261  33.1
2 0 1  4.358  73.2
2 2 1  3.556  100.0
0 4 0  3.077  89.4
6 2 -1  2.575  62.9
6 2 1  2.566  62.0
2 4 1  2.514  38.3
8 2 0  2.419  26.5
4 4 2  1.776  35.5
6 6 -1  1.661  29.6

Crystal structure
```
data_Li4Mn3FeP4O16
_chemical_formula_sum 'Li16 Mn12 Fe4 P16 O64'
_cell_length_a 21.0428
_cell_length_b 12.3074
_cell_length_c 4.7882
_cell_angle_alpha 90.00
_cell_angle_beta 90.25
_cell_angle_gamma 90.00
_space_group_name_H-M_alt 'C 1 m 1'
_space_group_IT_number 8
loop_
_space_group_symop_operation_xyz
'x,y,z'
'x,-y,z'
'x+1/2,y+1/2,z'
'x+1/2,-y+1/2,z'
loop_
_atom_site_label
_atom_site_fract_x
_atom_site_fract_y
_atom_site_fract_z
Li1 0.9999 0.1243 0.9999
Li2 0.0000 0.3750 0.0000
Li3 0.2497 0.1246 0.4995
Li4 0.2501 0.3752 0.5000
Mn1 0.1094 0.5000 0.4732
Mn2 0.1406 0.2494 0.9731
Mn3 0.3592 0.0000 0.0263
Mn4 0.3908 0.2506 0.5268
Fe1 0.1090 0.0000 0.4711
Fe2 0.3594 0.5000 0.0282
P1 0.0463 0.2493 0.4127
P2 0.2028 0.0000 0.9100
P3 0.2043 0.5000 0.9124
P4 0.2963 0.2511 0.0866
P5 0.4533 0.5000 0.5888
P6 0.4538 0.0000 0.5886
O1 0.0224 0.0000 0.7076
O2 0.0225 0.5000 0.7117
O3 0.0480 0.2505 0.7334
O4 0.0812 0.1473 0.2840
O5 0.0811 0.3493 0.2787
O6 0.1682 0.1006 0.7749
O7 0.1694 0.3993 0.7784
O8 0.2012 0.0000 0.2313
O9 0.2020 0.5000 0.2331
O10 0.2280 0.2510 0.2107
O11 0.2716 0.0000 0.7903
O12 0.2730 0.5000 0.7919
O13 0.2977 0.2497 0.7660
O14 0.3312 0.1503 0.2218
O15 0.3314 0.3528 0.2160
O16 0.4191 0.1009 0.7213
O17 0.4188 0.3994 0.7252
O18 0.4508 0.5000 0.2676
O19 0.4519 0.0000 0.2677
O20 0.4778 0.2506 0.2880
```



Calculated PXRD pattern
Compound: Li4Mn3FeP4O16
Radiation: Cu Kα (λ = 1.5418 Å)
Structure: DFT lattice parameters and positions (PBE+U)
Neutral-atom scattering factors, no anomalous dispersion.

Top 10 peaks for 15° ≤ 2θ ≤ 90°, in order of rising 2θ:
index  d [Å]  I_rel
0 0 2  5.267  26.4
1 1 1  4.355  58.3
1 -1 2  4.001  19.7
2 0 -1  3.554  80.6
2 -2 0  3.075  77.7
1 1 3  2.831  26.4
2 0 -3  2.571  100.0
3 -1 1  2.512  30.6
1 -1 4  2.421  21.3
4 0 2  1.776  22.5

Crystal structure
```
data_Li4Mn3FeP4O16
_chemical_formula_sum 'Li8 Mn6 Fe2 P8 O32'
_cell_length_a 7.7907
_cell_length_b 7.7936
_cell_length_c 10.5341
_cell_angle_alpha 90.04
_cell_angle_beta 90.07
_cell_angle_gamma 104.26
_space_group_name_H-M_alt 'P -1'
_space_group_IT_number 2
loop_
_space_group_symop_operation_xyz
'x,y,z'
'-x,-y,-z'
loop_
_atom_site_label
_atom_site_fract_x
_atom_site_fract_y
_atom_site_fract_z
Li1 0.0000 0.0000 0.0000
Li2 0.0000 0.5000 0.5000
Li3 0.2501 0.2496 0.5003
Li4 0.2501 0.7504 0.0003
Li5 0.5000 0.0000 0.5000
Li6 0.5000 0.5000 0.0000
Mn1 0.1379 0.3882 0.2186
Mn2 0.3615 0.1117 0.7815
Mn3 0.3614 0.6117 0.7188
Fe1 0.1394 0.8897 0.2818
P1 0.0790 0.3291 0.9065
P2 0.0808 0.8326 0.5917
P3 0.4176 0.6695 0.4074
P4 0.4185 0.1686 0.0930
O1 0.0191 0.2693 0.0438
O2 0.0196 0.7710 0.4548
O3 0.0852 0.1306 0.3382
O4 0.0881 0.6372 0.1630
O5 0.1126 0.1620 0.8370
O6 0.1134 0.6650 0.6615
O7 0.2402 0.4902 0.9033
O8 0.2428 0.9921 0.5959
O9 0.2580 0.0080 0.0970
O10 0.2582 0.5076 0.4044
O11 0.3803 0.8352 0.3375
O12 0.3853 0.3364 0.1621
O13 0.4135 0.8646 0.8380
O14 0.4150 0.3636 0.6622
O15 0.4796 0.2299 0.9560
O16 0.4800 0.7314 0.5440
```